Simulated powder diffraction line list
Compound: Y2HoAl3
Radiation: Cu Kα (λ = 1.5418 Å)
Structure: a GGA-PBE-relaxed structure
Kinematic intensities with the Lorentz-polarization factor, no thermal factor.

Structure:
Unit cell a=3.5872 b=3.5872 c=10.8552 alpha=90.00 beta=90.00 gamma=90.00
Element x y z (fractional)
Y: 0.0000 0.0000 0.1677
Y: 0.0000 0.0000 0.8323
Ho: 0.0000 0.0000 0.5000
Al: 0.5000 0.5000 0.0000
Al: 0.5000 0.5000 0.3355
Al: 0.5000 0.5000 0.6645

Largest 12 diffraction maxima, by angle, 15° ≤ 2θ ≤ 90°:
- 2θ 24.6, intensity 24
- 2θ 24.8, intensity 47
- 2θ 35.2, intensity 100
- 2θ 35.4, intensity 49
- 2θ 43.6, intensity 21
- 2θ 50.9, intensity 17
- 2θ 57.0, intensity 9
- 2θ 57.3, intensity 9
- 2θ 63.1, intensity 18
- 2θ 63.4, intensity 35
- 2θ 74.5, intensity 11
- 2θ 85.6, intensity 15